Calculated PXRD pattern of CeTh4Sc3S8 for a wavelength of 1.5418 Å, from a structure optimized by DFT (GGA-PBE).
Lines closer than 0.1° are merged.

Peak list (10 most intense, 2θ from 5° to 70°, sorted by position)
| 2theta | I/Imax |
| --- | --- |
| 13.4 | 396 |
| 27.0 | 213 |
| 27.1 | 301 |
| 28.3 | 556 |
| 32.4 | 1000 |
| 35.2 | 186 |
| 45.6 | 371 |
| 47.2 | 344 |
| 55.3 | 238 |
| 58.4 | 180 |

Cell and atoms:
```
CeTh4Sc3S8
1.0
3.8475 2.2214 6.6150
-3.8475 2.2214 6.6150
0.0000 -4.4427 6.6150
Ce Th Sc S
1 4 3 8
Direct
0.0000 0.0000 0.0000
0.0000 0.0000 0.5000
0.0000 0.5000 0.0000
0.5000 0.0000 0.0000
0.5000 0.5000 0.5000
0.0000 0.5000 0.5000
0.5000 0.0000 0.5000
0.5000 0.5000 0.0000
0.2480 0.2480 0.7303
0.2480 0.7303 0.2480
0.2602 0.2602 0.2602
0.2697 0.7520 0.7520
0.7303 0.2480 0.2480
0.7398 0.7398 0.7398
0.7520 0.2697 0.7520
0.7520 0.7520 0.2697
```



Calculated PXRD pattern of CeTh2ScS4 for a wavelength of 1.5418 Å, from a structure optimized by DFT (GGA-PBE).
Lines closer than 0.1° are merged.

Peak list (10 most intense, 2θ from 5° to 70°, sorted by position)
| 2theta | I/Imax |
| --- | --- |
| 13.5 | 362 |
| 26.6 | 286 |
| 27.2 | 318 |
| 27.8 | 901 |
| 32.0 | 1000 |
| 32.1 | 495 |
| 45.5 | 549 |
| 46.3 | 352 |
| 54.5 | 204 |
| 57.3 | 186 |

Cell and atoms:
```
CeTh2ScS4
1.0
6.7883 0.0000 0.0000
0.0000 3.9358 0.0000
-2.2526 0.0000 6.5530
Ce Th Sc S
1 2 1 4
Direct
0.0000 0.0000 0.0000
0.0000 0.5000 0.5000
0.5000 0.0000 0.5000
0.5000 0.5000 0.0000
0.2574 0.5000 0.2361
0.2684 0.0000 0.7716
0.7316 0.0000 0.2284
0.7426 0.5000 0.7639
```



Calculated PXRD pattern of Ce4SeS6 for a wavelength of 1.5418 Å, from a structure optimized by DFT (GGA-PBE).
Lines closer than 0.1° are merged.

Peak list (10 most intense, 2θ from 5° to 70°, sorted by position)
| 2theta | I/Imax |
| --- | --- |
| 24.1 | 1000 |
| 25.6 | 319 |
| 30.9 | 757 |
| 33.3 | 673 |
| 39.6 | 586 |
| 42.5 | 623 |
| 43.4 | 288 |
| 46.0 | 213 |
| 52.6 | 251 |
| 64.4 | 355 |

Cell and atoms:
```
Ce4SeS6
1.0
8.5159 0.0000 0.0000
-4.2580 7.3750 0.0000
0.0000 0.0000 3.9426
Ce Se S
4 1 6
Direct
0.0000 0.0000 0.0000
0.0083 0.5041 0.5000
0.4959 0.5041 0.5000
0.4959 0.9917 0.5000
0.6667 0.3333 0.0000
0.2072 0.4144 0.0000
0.2072 0.7928 0.0000
0.2707 0.1353 0.5000
0.5856 0.7928 0.0000
0.8647 0.1353 0.5000
0.8647 0.7293 0.5000
```